1.
Starting from a cell relaxed with GGA-PBE, the X-ray powder pattern of HgAs2PbO8 was calculated for copper Kα.
Neutral-atom scattering factors, no anomalous dispersion.

Most intense lines, 2θ = 10–90°, sorted by position:
2θ (°)	Rel. int.
21.44	23
25.21	100
35.08	43
36.80	36
42.24	18
43.69	29
51.75	13
57.21	24
59.58	21
64.05	15

Cell and atoms:
```
data_HgAs2PbO8
_space_group_name_H-M_alt 'P 1'
_space_group_IT_number 1
_space_group_name_Hall 'P 1'
_cell_length_a 8.3460
_cell_length_b 8.3460
_cell_length_c 8.3460
_cell_angle_alpha 35.70
_cell_angle_beta 35.70
_cell_angle_gamma 35.70
loop_
_atom_site_label
_atom_site_fract_x
_atom_site_fract_y
_atom_site_fract_z
_atom_site_occupancy
Hg1 0.0000 0.0000 0.0000 1
As1 0.2491 0.2491 0.2491 1
As2 0.7509 0.7509 0.7509 1
Pb1 0.5000 0.5000 0.5000 1
O1 0.0629 0.4154 0.7123 1
O2 0.1754 0.1754 0.1754 1
O3 0.2877 0.5846 0.9371 1
O4 0.4154 0.7123 0.0630 1
O5 0.5846 0.9370 0.2877 1
O6 0.7123 0.0629 0.4154 1
O7 0.8246 0.8246 0.8246 1
O8 0.9371 0.2877 0.5846 1
```



2.
Starting from a cell relaxed with GGA-PBE, the X-ray powder pattern of Tb4Nd11Ho9 was calculated for copper Kα.
Neutral-atom scattering factors, no anomalous dispersion.

Most intense lines, 2θ = 10–90°, sorted by position:
2θ (°)	Rel. int.
29.61	100
29.94	34
30.84	35
31.76	30
32.10	94
32.23	95
49.65	32
58.90	33
60.50	20
61.92	20

Cell and atoms:
```
data_Tb4Nd11Ho9
_space_group_name_H-M_alt 'P 1'
_space_group_IT_number 1
_space_group_name_Hall 'P 1'
_cell_length_a 15.4102
_cell_length_b 15.4102
_cell_length_c 3.6714
_cell_angle_alpha 90.00
_cell_angle_beta 90.00
_cell_angle_gamma 113.10
loop_
_atom_site_label
_atom_site_fract_x
_atom_site_fract_y
_atom_site_fract_z
_atom_site_occupancy
Tb1 0.0554 0.2586 0.0000 1
Tb2 0.2586 0.0554 0.0000 1
Tb3 0.7414 0.9446 0.0000 1
Tb4 0.9446 0.7414 0.0000 1
Nd1 0.0946 0.4571 0.5000 1
Nd2 0.1318 0.8682 0.5000 1
Nd3 0.2080 0.2080 0.5000 1
Nd4 0.3397 0.6603 0.5000 1
Nd5 0.4571 0.0946 0.5000 1
Nd6 0.5000 0.5000 0.5000 1
Nd7 0.5429 0.9054 0.5000 1
Nd8 0.6603 0.3397 0.5000 1
Nd9 0.7920 0.7920 0.5000 1
Nd10 0.8682 0.1318 0.5000 1
Nd11 0.9054 0.5429 0.5000 1
Ho1 0.0000 0.0000 0.0000 1
Ho2 0.1311 0.6654 0.0000 1
Ho3 0.2869 0.4325 0.0000 1
Ho4 0.3346 0.8689 0.0000 1
Ho5 0.4325 0.2869 0.0000 1
Ho6 0.5675 0.7131 0.0000 1
Ho7 0.6654 0.1311 0.0000 1
Ho8 0.7131 0.5675 0.0000 1
Ho9 0.8689 0.3346 0.0000 1
```



3.
Starting from a cell relaxed with GGA-PBE, the X-ray powder pattern of Sc3Zn4Ag4 was calculated for copper Kα.
Neutral-atom scattering factors, no anomalous dispersion.

Most intense lines, 2θ = 10–90°, sorted by position:
2θ (°)	Rel. int.
18.98	19
28.74	30
36.45	47
37.14	100
39.45	51
40.50	92
47.90	24
54.80	27
72.26	15
74.12	28

Cell and atoms:
```
data_Sc3Zn4Ag4
_space_group_name_H-M_alt 'P 1'
_space_group_IT_number 1
_space_group_name_Hall 'P 1'
_cell_length_a 3.1254
_cell_length_b 4.5679
_cell_length_c 14.2990
_cell_angle_alpha 99.16
_cell_angle_beta 96.26
_cell_angle_gamma 90.03
loop_
_atom_site_label
_atom_site_fract_x
_atom_site_fract_y
_atom_site_fract_z
_atom_site_occupancy
Sc1 0.0000 0.0000 0.0000 1
Sc2 0.1376 0.6364 0.2746 1
Sc3 0.8624 0.3636 0.7254 1
Zn1 0.3160 0.8163 0.6318 1
Zn2 0.4550 0.4559 0.9110 1
Zn3 0.5450 0.5441 0.0890 1
Zn4 0.6840 0.1837 0.3682 1
Ag1 0.2675 0.2678 0.5353 1
Ag2 0.4082 0.9095 0.8176 1
Ag3 0.5918 0.0905 0.1824 1
Ag4 0.7325 0.7322 0.4647 1
```



4.
Starting from a cell relaxed with GGA-PBE, the X-ray powder pattern of LiCa4N was calculated for copper Kα.
Neutral-atom scattering factors, no anomalous dispersion.

Most intense lines, 2θ = 10–90°, sorted by position:
2θ (°)	Rel. int.
11.79	100
18.36	44
27.17	24
29.47	29
30.00	81
30.88	95
32.71	42
35.95	42
37.12	32
49.38	23

Cell and atoms:
```
data_LiCa4N
_space_group_name_H-M_alt 'P 1'
_space_group_IT_number 1
_space_group_name_Hall 'P 1'
_cell_length_a 10.0413
_cell_length_b 10.0413
_cell_length_c 7.6606
_cell_angle_alpha 101.07
_cell_angle_beta 101.07
_cell_angle_gamma 28.81
loop_
_atom_site_label
_atom_site_fract_x
_atom_site_fract_y
_atom_site_fract_z
_atom_site_occupancy
Li1 0.1800 0.1800 0.4345 1
Li2 0.8200 0.8200 0.5655 1
Ca1 0.0945 0.0945 0.9485 1
Ca2 0.2969 0.2969 0.8508 1
Ca3 0.3549 0.3549 0.3056 1
Ca4 0.4688 0.4688 0.7882 1
Ca5 0.5312 0.5312 0.2118 1
Ca6 0.6451 0.6451 0.6944 1
Ca7 0.7031 0.7031 0.1492 1
Ca8 0.9055 0.9055 0.0515 1
N1 0.4105 0.4105 0.0545 1
N2 0.5895 0.5895 0.9455 1
```



5.
Starting from a cell relaxed with GGA-PBE, the X-ray powder pattern of K3NpBr8 was calculated for copper Kα.
Neutral-atom scattering factors, no anomalous dispersion.

Most intense lines, 2θ = 10–90°, sorted by position:
2θ (°)	Rel. int.
11.82	27
13.05	78
20.33	51
31.84	16
33.32	50
33.59	100
39.34	17
39.85	18
43.33	32
59.71	27

Cell and atoms:
```
data_K3NpBr8
_space_group_name_H-M_alt 'P 1'
_space_group_IT_number 1
_space_group_name_Hall 'P 1'
_cell_length_a 9.2179
_cell_length_b 9.2179
_cell_length_c 9.2179
_cell_angle_alpha 131.26
_cell_angle_beta 131.26
_cell_angle_gamma 71.40
loop_
_atom_site_label
_atom_site_fract_x
_atom_site_fract_y
_atom_site_fract_z
_atom_site_occupancy
K1 0.0000 0.0000 0.0000 1
K2 0.2500 0.7500 0.5000 1
K3 0.7500 0.2500 0.5000 1
Np1 0.5000 0.5000 0.0000 1
Br1 0.1646 0.1646 0.5551 1
Br2 0.1646 0.6095 0.0000 1
Br3 0.3905 0.3905 0.5551 1
Br4 0.3905 0.8354 0.0000 1
Br5 0.6095 0.1646 0.0000 1
Br6 0.6095 0.6095 0.4449 1
Br7 0.8354 0.3905 0.0000 1
Br8 0.8354 0.8354 0.4449 1
```



6.
Starting from a cell relaxed with GGA-PBE, the X-ray powder pattern of Ho6ZnHg5 was calculated for copper Kα.
Neutral-atom scattering factors, no anomalous dispersion.

Most intense lines, 2θ = 10–90°, sorted by position:
2θ (°)	Rel. int.
34.41	100
34.52	20
49.48	22
61.58	22
61.75	22
72.56	9
72.79	2
82.79	10
82.88	7
83.03	3

Cell and atoms:
```
data_Ho6ZnHg5
_space_group_name_H-M_alt 'P 1'
_space_group_IT_number 1
_space_group_name_Hall 'P 1'
_cell_length_a 8.2505
_cell_length_b 8.2505
_cell_length_c 7.3730
_cell_angle_alpha 90.00
_cell_angle_beta 90.00
_cell_angle_gamma 143.29
loop_
_atom_site_label
_atom_site_fract_x
_atom_site_fract_y
_atom_site_fract_z
_atom_site_occupancy
Ho1 0.0000 0.0000 0.2447 1
Ho2 0.0000 0.0000 0.7553 1
Ho3 0.3355 0.6645 0.2464 1
Ho4 0.3355 0.6645 0.7536 1
Ho5 0.6645 0.3355 0.2464 1
Ho6 0.6645 0.3355 0.7536 1
Zn1 0.5000 0.5000 0.0000 1
Hg1 0.1633 0.8367 0.0000 1
Hg2 0.1663 0.8337 0.5000 1
Hg3 0.5000 0.5000 0.5000 1
Hg4 0.8337 0.1663 0.5000 1
Hg5 0.8367 0.1633 0.0000 1
```



7.
Starting from a cell relaxed with GGA-PBE, the X-ray powder pattern of CsCoP2Se8 was calculated for copper Kα.
Neutral-atom scattering factors, no anomalous dispersion.

Most intense lines, 2θ = 10–90°, sorted by position:
2θ (°)	Rel. int.
20.14	61
23.13	24
25.03	23
31.21	100
34.07	65
36.59	25
38.40	24
48.14	25
50.14	18
53.68	32

Cell and atoms:
```
data_CsCoP2Se8
_space_group_name_H-M_alt 'P 1'
_space_group_IT_number 1
_space_group_name_Hall 'P 1'
_cell_length_a 12.0323
_cell_length_b 12.0323
_cell_length_c 12.0323
_cell_angle_alpha 28.46
_cell_angle_beta 28.46
_cell_angle_gamma 28.46
loop_
_atom_site_label
_atom_site_fract_x
_atom_site_fract_y
_atom_site_fract_z
_atom_site_occupancy
Cs1 0.0000 0.0000 0.0000 1
Co1 0.5000 0.5000 0.5000 1
P1 0.2295 0.2295 0.2295 1
P2 0.7705 0.7705 0.7705 1
Se1 0.1630 0.7925 0.4165 1
Se2 0.2075 0.5835 0.8370 1
Se3 0.2919 0.2919 0.2919 1
Se4 0.4165 0.1630 0.7925 1
Se5 0.5835 0.8370 0.2075 1
Se6 0.7081 0.7081 0.7081 1
Se7 0.7925 0.4165 0.1630 1
Se8 0.8370 0.2075 0.5835 1
```



8.
Starting from a cell relaxed with GGA-PBE, the X-ray powder pattern of La6Tl5Os was calculated for copper Kα.
Neutral-atom scattering factors, no anomalous dispersion.

Most intense lines, 2θ = 10–90°, sorted by position:
2θ (°)	Rel. int.
29.65	7
32.03	100
32.86	27
33.34	21
44.29	9
47.51	16
56.23	9
58.14	19
58.76	9
66.97	8

Cell and atoms:
```
data_La6Tl5Os
_space_group_name_H-M_alt 'P 1'
_space_group_IT_number 1
_space_group_name_Hall 'P 1'
_cell_length_a 9.4420
_cell_length_b 9.4420
_cell_length_c 9.4420
_cell_angle_alpha 146.44
_cell_angle_beta 128.66
_cell_angle_gamma 62.74
loop_
_atom_site_label
_atom_site_fract_x
_atom_site_fract_y
_atom_site_fract_z
_atom_site_occupancy
La1 0.0727 0.3507 0.7220 1
La2 0.2100 0.0000 0.2100 1
La3 0.3713 0.6493 0.7220 1
La4 0.6287 0.3507 0.2780 1
La5 0.7900 0.0000 0.7900 1
La6 0.9273 0.6493 0.2780 1
Tl1 0.1923 0.1923 0.0000 1
Tl2 0.3394 0.8394 0.5000 1
Tl3 0.5000 0.5000 0.0000 1
Tl4 0.6606 0.1606 0.5000 1
Tl5 0.8077 0.8077 0.0000 1
Os1 0.0000 0.5000 0.5000 1
```



9.
Starting from a cell relaxed with GGA-PBE, the X-ray powder pattern of SmEr5Sc was calculated for copper Kα.
Neutral-atom scattering factors, no anomalous dispersion.

Most intense lines, 2θ = 10–90°, sorted by position:
2θ (°)	Rel. int.
26.63	30
31.30	88
31.42	24
32.11	49
32.29	90
32.42	45
32.60	100
33.35	49
33.86	48
51.66	29

Cell and atoms:
```
data_SmEr5Sc
_space_group_name_H-M_alt 'P 1'
_space_group_IT_number 1
_space_group_name_Hall 'P 1'
_cell_length_a 9.1197
_cell_length_b 3.5389
_cell_length_c 13.5639
_cell_angle_alpha 90.00
_cell_angle_beta 102.35
_cell_angle_gamma 90.00
loop_
_atom_site_label
_atom_site_fract_x
_atom_site_fract_y
_atom_site_fract_z
_atom_site_occupancy
Sm1 0.1128 0.2500 0.1361 1
Sm2 0.8872 0.7500 0.8639 1
Er1 0.0059 0.7500 0.3701 1
Er2 0.2031 0.2500 0.8845 1
Er3 0.3278 0.2500 0.5071 1
Er4 0.3495 0.7500 0.7218 1
Er5 0.4185 0.7500 0.0829 1
Er6 0.5815 0.2500 0.9171 1
Er7 0.6505 0.2500 0.2782 1
Er8 0.6722 0.7500 0.4929 1
Er9 0.7969 0.7500 0.1155 1
Er10 0.9941 0.2500 0.6299 1
Sc1 0.3516 0.7500 0.3081 1
Sc2 0.6484 0.2500 0.6919 1
```



10.
Starting from a cell relaxed with GGA-PBE, the X-ray powder pattern of PuU2Te4 was calculated for copper Kα.
Neutral-atom scattering factors, no anomalous dispersion.

Most intense lines, 2θ = 10–90°, sorted by position:
2θ (°)	Rel. int.
21.64	78
26.74	50
28.25	46
28.87	100
30.67	86
37.07	90
40.00	45
42.26	81
42.59	40
61.52	24

Cell and atoms:
```
data_PuU2Te4
_space_group_name_H-M_alt 'P 1'
_space_group_IT_number 1
_space_group_name_Hall 'P 1'
_cell_length_a 7.4058
_cell_length_b 7.4058
_cell_length_c 15.1065
_cell_angle_alpha 90.00
_cell_angle_beta 90.00
_cell_angle_gamma 146.69
loop_
_atom_site_label
_atom_site_fract_x
_atom_site_fract_y
_atom_site_fract_z
_atom_site_occupancy
Pu1 0.1059 0.8941 0.7500 1
Pu2 0.8941 0.1059 0.2500 1
U1 0.3590 0.6410 0.5624 1
U2 0.3590 0.6410 0.9376 1
U3 0.6410 0.3590 0.0624 1
U4 0.6410 0.3590 0.4376 1
Te1 0.0000 0.0000 0.0000 1
Te2 0.0000 0.0000 0.5000 1
Te3 0.2817 0.7183 0.1292 1
Te4 0.2817 0.7183 0.3708 1
Te5 0.4418 0.5582 0.7500 1
Te6 0.5582 0.4418 0.2500 1
Te7 0.7183 0.2817 0.6292 1
Te8 0.7183 0.2817 0.8708 1
```



11.
Starting from a cell relaxed with GGA-PBE, the X-ray powder pattern of ErPu2Al9 was calculated for copper Kα.
Neutral-atom scattering factors, no anomalous dispersion.

Most intense lines, 2θ = 10–90°, sorted by position:
2θ (°)	Rel. int.
18.94	94
20.07	35
22.99	23
30.13	99
32.58	92
32.90	44
37.95	41
38.56	100
56.61	35
62.14	25

Cell and atoms:
```
data_ErPu2Al9
_space_group_name_H-M_alt 'P 1'
_space_group_IT_number 1
_space_group_name_Hall 'P 1'
_cell_length_a 9.4003
_cell_length_b 9.4003
_cell_length_c 9.4003
_cell_angle_alpha 34.01
_cell_angle_beta 34.01
_cell_angle_gamma 34.01
loop_
_atom_site_label
_atom_site_fract_x
_atom_site_fract_y
_atom_site_fract_z
_atom_site_occupancy
Er1 0.0000 0.0000 0.0000 1
Pu1 0.1443 0.1443 0.1443 1
Pu2 0.8557 0.8557 0.8557 1
Al1 0.0779 0.5856 0.5856 1
Al2 0.3346 0.3346 0.3346 1
Al3 0.4144 0.4144 0.9221 1
Al4 0.4144 0.9221 0.4144 1
Al5 0.5000 0.5000 0.5000 1
Al6 0.5856 0.0779 0.5856 1
Al7 0.5856 0.5856 0.0779 1
Al8 0.6654 0.6654 0.6654 1
Al9 0.9221 0.4144 0.4144 1
```



12.
Starting from a cell relaxed with GGA-PBE, the X-ray powder pattern of Nd2Tm2Se2S3 was calculated for copper Kα.
Neutral-atom scattering factors, no anomalous dispersion.

Most intense lines, 2θ = 10–90°, sorted by position:
2θ (°)	Rel. int.
23.41	24
26.37	82
33.47	46
33.58	100
33.94	58
41.35	21
48.23	36
48.50	42
54.04	20
55.80	22

Cell and atoms:
```
data_Nd2Tm2Se2S3
_space_group_name_H-M_alt 'P 1'
_space_group_IT_number 1
_space_group_name_Hall 'P 1'
_cell_length_a 8.4841
_cell_length_b 8.4841
_cell_length_c 8.4841
_cell_angle_alpha 143.34
_cell_angle_beta 143.34
_cell_angle_gamma 52.82
loop_
_atom_site_label
_atom_site_fract_x
_atom_site_fract_y
_atom_site_fract_z
_atom_site_occupancy
Nd1 0.1985 0.1985 0.0000 1
Nd2 0.8015 0.8015 0.0000 1
Tm1 0.0000 0.5000 0.5000 1
Tm2 0.5000 0.0000 0.5000 1
Se1 0.3984 0.3984 0.0000 1
Se2 0.6016 0.6016 0.0000 1
S1 0.0000 0.0000 0.0000 1
S2 0.2500 0.7500 0.5000 1
S3 0.7500 0.2500 0.5000 1
```